Record 1
Structure and simulated PXRD pattern of Ho2PuGe4 (a GGA-PBE-relaxed structure; Cu Kα (weighted mean of Kα1 and Kα2)).
Lines closer than 0.1° are merged.

Atomic structure:
abc: 9.5991 9.5991 9.5991
angles: 156.03 154.32 35.41
Fractional positions:
Ho 0.1818 0.1818 0.0000
Ho 0.8182 0.8182 0.0000
Pu 0.0000 0.5000 0.5000
Ge 0.3417 0.3417 0.0000
Ge 0.4322 0.9322 0.5000
Ge 0.5678 0.0678 0.5000
Ge 0.6583 0.6583 0.0000

The 8 most intense peaks (2θ = 5–70°), by angle:
2θ/deg	d/Å	I (rel.)
26.72	3.336	19
29.30	3.048	17
32.25	2.776	100
36.58	2.457	18
41.32	2.185	15
42.38	2.133	17
45.51	1.993	14
50.79	1.798	18



Record 2
Structure and simulated PXRD pattern of HfTiCd2O6 (a GGA-PBE-relaxed structure; Cu Kα (weighted mean of Kα1 and Kα2)).
Lines closer than 0.1° are merged.

Atomic structure:
abc: 5.6036 5.6036 4.2880
angles: 90.00 90.00 90.00
Fractional positions:
Hf 0.0000 0.0000 0.0000
Ti 0.5000 0.5000 0.9805
Cd 0.0000 0.5000 0.3823
Cd 0.5000 0.0000 0.3823
O 0.0000 0.0000 0.5374
O 0.2572 0.2572 0.0772
O 0.2572 0.7428 0.0772
O 0.5000 0.5000 0.5694
O 0.7428 0.2572 0.0772
O 0.7428 0.7428 0.0772

The 8 most intense peaks (2θ = 5–70°), by angle:
2θ/deg	d/Å	I (rel.)
15.82	5.604	22
20.71	4.288	15
30.72	2.910	100
31.94	2.802	50
45.80	1.981	30
48.26	1.886	18
53.84	1.703	16
56.16	1.638	36



Record 3
Structure and simulated PXRD pattern of K5ReBr2O4 (a GGA-PBE-relaxed structure; Cu Kα (weighted mean of Kα1 and Kα2)).
Lines closer than 0.1° are merged.

Atomic structure:
abc: 8.6419 6.1588 6.1588
angles: 110.82 90.00 90.00
Fractional positions:
K 0.0000 0.0000 0.0000
K 0.3076 0.2012 0.5840
K 0.3076 0.5840 0.2012
K 0.6924 0.2012 0.5840
K 0.6924 0.5840 0.2012
Re 0.5000 0.9118 0.9118
Br 0.0000 0.4517 0.8447
Br 0.0000 0.8447 0.4517
O 0.3271 0.0529 0.0529
O 0.5000 0.5807 0.8257
O 0.5000 0.8257 0.5807
O 0.6729 0.0529 0.0529

The 8 most intense peaks (2θ = 5–70°), by angle:
2θ/deg	d/Å	I (rel.)
15.39	5.757	81
18.52	4.791	69
20.31	4.373	75
20.55	4.321	48
25.78	3.456	100
27.52	3.241	78
29.35	3.043	99
37.55	2.395	93



Record 4
Structure and simulated PXRD pattern of Tb2Sm5YTm (a GGA-PBE-relaxed structure; Cu Kα (weighted mean of Kα1 and Kα2)).
Lines closer than 0.1° are merged.

Atomic structure:
abc: 10.5059 10.5059 10.6116
angles: 90.00 90.00 148.87
Fractional positions:
Tb 0.1126 0.8874 0.5000
Tb 0.1145 0.8855 0.0762
Tb 0.8855 0.1145 0.5762
Tb 0.8874 0.1126 0.0000
Sm 0.0163 0.9837 0.7816
Sm 0.2788 0.7212 0.0756
Sm 0.2983 0.7017 0.4713
Sm 0.3848 0.6152 0.7852
Sm 0.4814 0.5186 0.5059
Sm 0.5186 0.4814 0.0059
Sm 0.6152 0.3848 0.2852
Sm 0.7017 0.2983 0.9713
Sm 0.7212 0.2788 0.5756
Sm 0.9837 0.0163 0.2816
Y 0.4086 0.5914 0.2233
Y 0.5914 0.4086 0.7233
Tm 0.1989 0.8011 0.7747
Tm 0.8011 0.1989 0.2747

The 8 most intense peaks (2θ = 5–70°), by angle:
2θ/deg	d/Å	I (rel.)
27.75	3.215	18
30.15	2.964	40
31.74	2.819	38
32.02	2.795	100
33.79	2.653	14
56.72	1.623	20
58.90	1.568	13
61.18	1.515	13



Record 5
Structure and simulated PXRD pattern of Sm2ZrFe9 (a GGA-PBE-relaxed structure; Cu Kα (weighted mean of Kα1 and Kα2)).
Lines closer than 0.1° are merged.

Atomic structure:
abc: 5.0358 5.0358 16.5013
angles: 90.00 90.00 120.00
Fractional positions:
Sm 0.3333 0.6667 0.0388
Sm 0.3333 0.6667 0.4612
Sm 0.6667 0.3333 0.5388
Sm 0.6667 0.3333 0.9612
Zr 0.3333 0.6667 0.2500
Zr 0.6667 0.3333 0.7500
Fe 0.0000 0.0000 0.0000
Fe 0.0000 0.0000 0.2500
Fe 0.0000 0.0000 0.5000
Fe 0.0000 0.0000 0.7500
Fe 0.1660 0.3319 0.6311
Fe 0.1660 0.3319 0.8689
Fe 0.1660 0.8340 0.6311
Fe 0.1660 0.8340 0.8689
Fe 0.3319 0.1660 0.1311
Fe 0.3319 0.1660 0.3689
Fe 0.3333 0.6667 0.7500
Fe 0.6667 0.3333 0.2500
Fe 0.6681 0.8340 0.6311
Fe 0.6681 0.8340 0.8689
Fe 0.8340 0.1660 0.1311
Fe 0.8340 0.1660 0.3689
Fe 0.8340 0.6681 0.1311
Fe 0.8340 0.6681 0.3689

The 8 most intense peaks (2θ = 5–70°), by angle:
2θ/deg	d/Å	I (rel.)
34.07	2.632	75
35.66	2.518	53
41.78	2.162	33
42.04	2.149	100
43.65	2.074	23
44.71	2.027	30
63.04	1.475	25
68.43	1.371	22



Record 6
Structure and simulated PXRD pattern of SnHF5 (a GGA-PBE-relaxed structure; Cu Kα (weighted mean of Kα1 and Kα2)).
Lines closer than 0.1° are merged.

Atomic structure:
abc: 5.7327 5.7327 7.8234
angles: 114.82 114.82 65.04
Fractional positions:
Sn 0.9997 0.0003 0.0000
Sn 0.0003 0.9997 0.5000
H 0.3166 0.6833 0.7502
H 0.6833 0.3166 0.2502
F 0.1219 0.8782 0.2499
F 0.1772 0.2731 0.1545
F 0.2642 0.6590 0.5852
F 0.2731 0.1772 0.6545
F 0.3406 0.7359 0.9151
F 0.6590 0.2642 0.0852
F 0.7276 0.8220 0.3454
F 0.7359 0.3406 0.4151
F 0.8220 0.7276 0.8454
F 0.8782 0.1219 0.7499

The 8 most intense peaks (2θ = 5–70°), by angle:
2θ/deg	d/Å	I (rel.)
17.86	4.966	100
21.19	4.193	41
24.17	3.682	23
27.11	3.289	42
28.97	3.082	14
35.26	2.546	13
38.08	2.363	18
49.23	1.851	14